No. 1
Theoretical X-ray diffraction stick pattern
Compound: LaPr3Co8P8
Radiation: Cu Ka
Structure: a DFT-relaxed cell (GGA-PBE, Alexandria)
Neutral-atom scattering factors, no anomalous dispersion.

Peak list (12 most intense, 2θ = 15–90°, in order of rising 2θ)
2theta	I_rel
24.85	47
32.85	25
34.16	79
37.36	100
47.96	40
48.12	18
54.75	12
59.35	18
60.19	30
61.64	32
70.16	12
82.29	19

Atomic structure:
```
LaPr3Co8P8
1.0
3.7938 0.0000 0.0000
0.0000 3.7938 0.0000
0.0000 0.0000 21.8102
La Pr Co P
1 3 8 8
Cartesian
0.0000 0.0000 0.0000
0.0000 0.0000 10.9051
1.8969 1.8969 5.4930
1.8969 1.8969 16.3172
0.0000 1.8969 2.7853
0.0000 1.8969 8.2014
0.0000 1.8969 13.6088
0.0000 1.8969 19.0249
1.8969 0.0000 2.7853
1.8969 0.0000 8.2014
1.8969 0.0000 13.6088
1.8969 0.0000 19.0249
0.0000 0.0000 3.9398
0.0000 0.0000 7.0502
0.0000 0.0000 14.7600
0.0000 0.0000 17.8704
1.8969 1.8969 1.6358
1.8969 1.8969 9.3512
1.8969 1.8969 12.4590
1.8969 1.8969 20.1744
```

=====

No. 2
Theoretical X-ray diffraction stick pattern
Compound: Tb2Sm5Tm12
Radiation: Cu Ka
Structure: a DFT-relaxed cell (GGA-PBE, Alexandria)
Neutral-atom scattering factors, no anomalous dispersion.

Peak list (12 most intense, 2θ = 15–90°, in order of rising 2θ)
2theta	I_rel
28.48	16
30.20	21
30.48	38
31.39	25
31.52	30
31.93	100
33.24	41
35.80	32
36.37	24
55.97	21
59.10	18
60.15	20

Atomic structure:
```
Tb2Sm5Tm12
1.0
7.7184 -4.6149 0.0000
7.7184 4.6149 0.0000
-0.3315 0.0000 8.5369
Tb Sm Tm
2 5 12
Cartesian
7.7184 3.0037 0.0000
7.7184 -3.0037 0.0000
3.1860 0.0000 0.1484
4.0128 0.0000 3.6548
7.5527 0.0000 4.2685
11.0925 0.0000 4.8822
11.9194 0.0000 8.3886
0.7569 0.0000 2.8493
5.6086 2.8652 2.8559
5.1766 1.6485 6.4822
9.4967 2.8652 5.6810
6.5254 0.0000 1.0726
9.9287 1.6485 2.0547
5.1766 -1.6485 6.4822
8.5799 0.0000 7.4644
5.6086 -2.8652 2.8559
9.9287 -1.6485 2.0547
9.4967 -2.8652 5.6810
14.3484 0.0000 5.6876
```